Computed powder X-ray diffraction pattern
Compound: Mg6CdPb
Radiation: Cu Kα X-rays
Structure: a cell relaxed with GGA-PBE
Kinematic intensities with the Lorentz-polarization factor, no thermal factor.

Structural model:
```
data_Mg6CdPb
_chemical_formula_sum 'Mg6 Cd1 Pb1'
_cell_length_a 4.483
_cell_length_b 4.483
_cell_length_c 9.134
_cell_angle_alpha 90.00
_cell_angle_beta 90.00
_cell_angle_gamma 90.00
_symmetry_space_group_name_H-M 'P 4/m m m'
_symmetry_Int_Tables_number 123
_symmetry_space_group_name_Hall '-P 4 2'
loop_
_atom_site_label
_atom_site_type_symbol
_atom_site_fract_x
_atom_site_fract_y
_atom_site_fract_z
Mg1 Mg 0.000 0.000 0.000
Mg2 Mg 0.000 0.000 0.500
Mg3 Mg 0.000 0.500 0.243
Cd1 Cd 0.500 0.500 0.000
Pb1 Pb 0.500 0.500 0.500
```

The 10 most intense peaks (15° ≤ 2θ ≤ 90°), sorted by position:
hkl 0 0 2, 2θ = 19.4°, intensity 32; hkl 1 0 0, 2θ = 19.8°, intensity 61; hkl 1 0 2, 2θ = 27.9°, intensity 55; hkl 1 1 0, 2θ = 28.2°, intensity 27; hkl 1 1 2, 2θ = 34.4°, intensity 100; hkl 0 0 4, 2θ = 39.5°, intensity 17; hkl 2 0 0, 2θ = 40.2°, intensity 33; hkl 2 1 2, 2θ = 49.7°, intensity 23; hkl 2 0 4, 2θ = 57.6°, intensity 22; hkl 3 1 2, 2θ = 69.4°, intensity 25


Computed powder X-ray diffraction pattern
Compound: CaDyCu2Ge2
Radiation: Cu Kα X-rays
Structure: a cell relaxed with GGA-PBE
Kinematic intensities with the Lorentz-polarization factor, no thermal factor.

Structural model:
```
data_CaDyCu2Ge2
_chemical_formula_sum 'Ca1 Dy1 Cu2 Ge2'
_cell_length_a 4.2673
_cell_length_b 4.2673
_cell_length_c 7.5646
_cell_angle_alpha 90.00
_cell_angle_beta 90.00
_cell_angle_gamma 120.00
_symmetry_space_group_name_H-M 'P -3 m 1'
_symmetry_Int_Tables_number 164
_symmetry_space_group_name_Hall '-P 3 2"'
loop_
_atom_site_label
_atom_site_type_symbol
_atom_site_fract_x
_atom_site_fract_y
_atom_site_fract_z
Ca1 Ca 0.0000 0.0000 0.0000
Dy1 Dy 0.0000 0.0000 0.5000
Cu1 Cu 0.3333 0.6667 0.7351
Ge1 Ge 0.3333 0.6667 0.2690
```

The 10 most intense peaks (15° ≤ 2θ ≤ 90°), sorted by position:
hkl 1 0 1, 2θ = 26.8°, intensity 16; hkl 1 0 2, 2θ = 33.9°, intensity 100; hkl 1 1 0, 2θ = 42.4°, intensity 55; hkl 0 1 3, 2θ = 43.4°, intensity 12; hkl 1 1 1, 2θ = 44.1°, intensity 9; hkl 0 0 4, 2θ = 48.1°, intensity 11; hkl 0 2 2, 2θ = 55.3°, intensity 24; hkl 1 1 4, 2θ = 66.0°, intensity 25; hkl 2 1 2, 2θ = 72.1°, intensity 21; hkl 3 0 0, 2θ = 77.5°, intensity 9


Computed powder X-ray diffraction pattern
Compound: Ga5Hg
Radiation: Cu Kα X-rays
Structure: a cell relaxed with GGA-PBE
Kinematic intensities with the Lorentz-polarization factor, no thermal factor.

Structural model:
```
data_Ga5Hg
_chemical_formula_sum 'Ga5 Hg1'
_cell_length_a 3.204
_cell_length_b 5.958
_cell_length_c 6.528
_cell_angle_alpha 86.91
_cell_angle_beta 77.01
_cell_angle_gamma 89.80
_symmetry_space_group_name_H-M 'P 1'
_symmetry_Int_Tables_number 1
_symmetry_space_group_name_Hall 'P 1'
loop_
_atom_site_label
_atom_site_type_symbol
_atom_site_fract_x
_atom_site_fract_y
_atom_site_fract_z
Ga1 Ga 0.000 0.000 0.000
Ga2 Ga 0.001 0.532 0.999
Ga3 Ga 0.351 0.751 0.318
Ga4 Ga 0.372 0.253 0.275
Ga5 Ga 0.667 0.762 0.676
Hg1 Hg 0.688 0.263 0.655
```

The 10 most intense peaks (15° ≤ 2θ ≤ 90°), sorted by position:
hkl 0 2 0, 2θ = 30.0°, intensity 36; hkl 0 2 1, 2θ = 32.5°, intensity 41; hkl 0 2 -1, 2θ = 34.0°, intensity 45; hkl 1 0 -1, 2θ = 34.8°, intensity 100; hkl 1 0 2, 2θ = 35.5°, intensity 95; hkl 0 2 2, 2θ = 40.4°, intensity 39; hkl 1 2 1, 2θ = 41.8°, intensity 62; hkl 1 2 0, 2θ = 42.1°, intensity 24; hkl 1 -2 1, 2θ = 42.6°, intensity 25; hkl 0 0 3, 2θ = 42.7°, intensity 80


Computed powder X-ray diffraction pattern
Compound: PmCuAs2O8
Radiation: Cu Kα X-rays
Structure: a cell relaxed with GGA-PBE
Kinematic intensities with the Lorentz-polarization factor, no thermal factor.

Structural model:
```
data_PmCuAs2O8
_chemical_formula_sum 'Pm2 Cu2 As4 O16'
_cell_length_a 7.145
_cell_length_b 7.145
_cell_length_c 6.381
_cell_angle_alpha 90.00
_cell_angle_beta 90.00
_cell_angle_gamma 90.00
_symmetry_space_group_name_H-M 'I -4 m 2'
_symmetry_Int_Tables_number 119
_symmetry_space_group_name_Hall 'I -4 -2'
loop_
_atom_site_label
_atom_site_type_symbol
_atom_site_fract_x
_atom_site_fract_y
_atom_site_fract_z
Pm1 Pm 0.000 0.000 0.000
Cu1 Cu 0.000 0.500 0.750
As1 As 0.000 0.000 0.500
As2 As 0.000 0.500 0.250
O1 O 0.000 0.185 0.676
O2 O 0.000 0.322 0.070
```

The 10 most intense peaks (15° ≤ 2θ ≤ 90°), sorted by position:
hkl 2 0 0, 2θ = 24.9°, intensity 100; hkl 1 1 2, 2θ = 33.2°, intensity 68; hkl 2 2 0, 2θ = 35.5°, intensity 20; hkl 3 1 2, 2θ = 49.4°, intensity 59; hkl 4 0 0, 2θ = 51.1°, intensity 15; hkl 4 2 0, 2θ = 57.7°, intensity 13; hkl 3 3 2, 2θ = 62.3°, intensity 18; hkl 2 0 4, 2θ = 63.9°, intensity 12; hkl 5 1 2, 2θ = 73.9°, intensity 13; hkl 6 2 0, 2θ = 86.1°, intensity 17


Computed powder X-ray diffraction pattern
Compound: KSn4Hg
Radiation: Cu Kα X-rays
Structure: a cell relaxed with GGA-PBE
Kinematic intensities with the Lorentz-polarization factor, no thermal factor.

Structural model:
```
data_KSn4Hg
_chemical_formula_sum 'K4 Sn16 Hg4'
_cell_length_a 9.001
_cell_length_b 9.001
_cell_length_c 9.001
_cell_angle_alpha 90.00
_cell_angle_beta 90.00
_cell_angle_gamma 90.00
_symmetry_space_group_name_H-M 'F -4 3 m'
_symmetry_Int_Tables_number 216
_symmetry_space_group_name_Hall 'F -4 2 3'
loop_
_atom_site_label
_atom_site_type_symbol
_atom_site_fract_x
_atom_site_fract_y
_atom_site_fract_z
K1 K 0.000 0.000 0.000
Sn1 Sn 0.125 0.125 0.625
Hg1 Hg 0.250 0.250 0.250
```

The 10 most intense peaks (15° ≤ 2θ ≤ 90°), sorted by position:
hkl 1 1 1, 2θ = 17.1°, intensity 16; hkl 2 0 0, 2θ = 19.7°, intensity 11; hkl 2 2 0, 2θ = 28.0°, intensity 24; hkl 3 1 1, 2θ = 33.0°, intensity 100; hkl 2 2 2, 2θ = 34.5°, intensity 42; hkl 3 3 3, 2θ = 52.9°, intensity 36; hkl 4 4 0, 2θ = 58.0°, intensity 29; hkl 5 3 3, 2θ = 68.3°, intensity 13; hkl 6 2 2, 2θ = 69.2°, intensity 18; hkl 7 3 1, 2θ = 82.3°, intensity 24


Computed powder X-ray diffraction pattern
Compound: Pr12DyEr7
Radiation: Cu Kα X-rays
Structure: a cell relaxed with GGA-PBE
Kinematic intensities with the Lorentz-polarization factor, no thermal factor.

Structural model:
```
data_Pr12DyEr7
_chemical_formula_sum 'Pr36 Dy3 Er21'
_cell_length_a 19.7000
_cell_length_b 19.7000
_cell_length_c 6.2644
_cell_angle_alpha 90.00
_cell_angle_beta 90.00
_cell_angle_gamma 120.00
_symmetry_space_group_name_H-M 'R -3 m'
_symmetry_Int_Tables_number 166
_symmetry_space_group_name_Hall '-R 3 2"'
loop_
_atom_site_label
_atom_site_type_symbol
_atom_site_fract_x
_atom_site_fract_y
_atom_site_fract_z
Pr1 Pr 0.0000 0.4119 0.0000
Pr2 Pr 0.0985 0.5492 0.4672
Dy1 Dy 0.0000 0.0000 0.5000
Er1 Er 0.0000 0.0000 0.0000
Er2 Er 0.0812 0.1624 0.2951
```

The 10 most intense peaks (15° ≤ 2θ ≤ 90°), sorted by position:
hkl 3 3 0, 2θ = 27.2°, intensity 43; hkl 0 5 1, 2θ = 29.8°, intensity 100; hkl 2 0 2, 2θ = 30.4°, intensity 42; hkl 5 1 1, 2θ = 32.5°, intensity 46; hkl 5 2 0, 2θ = 32.8°, intensity 46; hkl 3 1 2, 2θ = 34.3°, intensity 29; hkl 5 0 2, 2θ = 39.0°, intensity 40; hkl 7 0 1, 2θ = 39.7°, intensity 25; hkl 5 5 0, 2θ = 46.1°, intensity 26; hkl 0 7 2, 2θ = 47.3°, intensity 26


Computed powder X-ray diffraction pattern
Compound: Li2LaZr
Radiation: Cu Kα X-rays
Structure: a cell relaxed with GGA-PBE
Kinematic intensities with the Lorentz-polarization factor, no thermal factor.

Structural model:
```
data_Li2LaZr
_chemical_formula_sum 'Li2 La1 Zr1'
_cell_length_a 3.377
_cell_length_b 3.377
_cell_length_c 8.475
_cell_angle_alpha 90.00
_cell_angle_beta 90.00
_cell_angle_gamma 90.00
_symmetry_space_group_name_H-M 'P 4 m m'
_symmetry_Int_Tables_number 99
_symmetry_space_group_name_Hall 'P 4 -2'
loop_
_atom_site_label
_atom_site_type_symbol
_atom_site_fract_x
_atom_site_fract_y
_atom_site_fract_z
Li1 Li 0.000 0.000 0.000
Li2 Li 0.500 0.500 0.178
La1 La 0.500 0.500 0.688
Zr1 Zr 0.000 0.000 0.412
```

The 10 most intense peaks (15° ≤ 2θ ≤ 90°), sorted by position:
hkl 1 0 1, 2θ = 28.5°, intensity 86; hkl 0 0 3, 2θ = 31.7°, intensity 21; hkl 1 0 2, 2θ = 33.9°, intensity 100; hkl 1 1 0, 2θ = 37.7°, intensity 39; hkl 1 1 1, 2θ = 39.2°, intensity 25; hkl 1 1 3, 2θ = 50.0°, intensity 23; hkl 1 1 4, 2θ = 58.2°, intensity 18; hkl 1 0 5, 2θ = 61.2°, intensity 15; hkl 2 1 1, 2θ = 62.5°, intensity 18; hkl 2 1 2, 2θ = 65.6°, intensity 29


Computed powder X-ray diffraction pattern
Compound: NpHF5
Radiation: Cu Kα X-rays
Structure: a cell relaxed with GGA-PBE
Kinematic intensities with the Lorentz-polarization factor, no thermal factor.

Structural model:
```
data_NpHF5
_chemical_formula_sum 'Np4 H4 F20'
_cell_length_a 9.251
_cell_length_b 6.399
_cell_length_c 7.679
_cell_angle_alpha 90.00
_cell_angle_beta 118.01
_cell_angle_gamma 90.00
_symmetry_space_group_name_H-M 'C 1 c 1'
_symmetry_Int_Tables_number 9
_symmetry_space_group_name_Hall 'C -2yc'
loop_
_atom_site_label
_atom_site_type_symbol
_atom_site_fract_x
_atom_site_fract_y
_atom_site_fract_z
Np1 Np 0.000 0.186 0.000
H1 H 0.158 0.209 0.724
F1 F 0.155 0.125 0.601
F2 F 0.156 0.292 0.868
F3 F 0.233 0.278 0.268
F4 F 0.440 0.457 0.719
F5 F 0.446 0.011 0.531
```

The 10 most intense peaks (15° ≤ 2θ ≤ 90°), sorted by position:
hkl 1 1 0, 2θ = 17.6°, intensity 23; hkl 1 1 -1, 2θ = 18.7°, intensity 100; hkl 2 0 0, 2θ = 21.8°, intensity 40; hkl 1 1 1, 2θ = 24.9°, intensity 54; hkl 2 0 -2, 2θ = 25.1°, intensity 32; hkl 0 0 2, 2θ = 26.3°, intensity 23; hkl 3 1 -1, 2θ = 32.3°, intensity 20; hkl 1 1 -3, 2θ = 38.7°, intensity 18; hkl 3 1 -3, 2θ = 40.6°, intensity 18; hkl 1 3 -2, 2θ = 48.9°, intensity 19


Computed powder X-ray diffraction pattern
Compound: Ac5Pm4Tm2
Radiation: Cu Kα X-rays
Structure: a cell relaxed with GGA-PBE
Kinematic intensities with the Lorentz-polarization factor, no thermal factor.

Structural model:
```
data_Ac5Pm4Tm2
_chemical_formula_sum 'Ac5 Pm4 Tm2'
_cell_length_a 9.369
_cell_length_b 3.684
_cell_length_c 12.477
_cell_angle_alpha 90.00
_cell_angle_beta 92.45
_cell_angle_gamma 90.00
_symmetry_space_group_name_H-M 'P 1 2/m 1'
_symmetry_Int_Tables_number 10
_symmetry_space_group_name_Hall '-P 2y'
loop_
_atom_site_label
_atom_site_type_symbol
_atom_site_fract_x
_atom_site_fract_y
_atom_site_fract_z
Ac1 Ac 0.000 0.000 0.000
Ac2 Ac 0.198 0.000 0.525
Ac3 Ac 0.288 0.000 0.821
Pm1 Pm 0.078 0.500 0.266
Pm2 Pm 0.461 0.500 0.354
Tm1 Tm 0.344 0.000 0.123
```

The 10 most intense peaks (15° ≤ 2θ ≤ 90°), sorted by position:
hkl 0 1 0, 2θ = 24.2°, intensity 30; hkl 1 1 -1, 2θ = 26.9°, intensity 31; hkl 0 1 2, 2θ = 28.1°, intensity 42; hkl 3 0 -1, 2θ = 29.2°, intensity 95; hkl 2 0 3, 2θ = 29.3°, intensity 100; hkl 1 1 -2, 2θ = 29.5°, intensity 30; hkl 1 0 -4, 2θ = 29.8°, intensity 81; hkl 2 1 0, 2θ = 30.9°, intensity 52; hkl 0 1 3, 2θ = 32.5°, intensity 56; hkl 2 2 3, 2θ = 58.5°, intensity 63


Computed powder X-ray diffraction pattern
Compound: NdDy2Ag2
Radiation: Cu Kα X-rays
Structure: a cell relaxed with GGA-PBE
Kinematic intensities with the Lorentz-polarization factor, no thermal factor.

Structural model:
```
data_NdDy2Ag2
_chemical_formula_sum 'Nd2 Dy4 Ag4'
_cell_length_a 3.662
_cell_length_b 5.341
_cell_length_c 13.672
_cell_angle_alpha 90.00
_cell_angle_beta 97.67
_cell_angle_gamma 90.00
_symmetry_space_group_name_H-M 'P 1 21/m 1'
_symmetry_Int_Tables_number 11
_symmetry_space_group_name_Hall '-P 2yb'
loop_
_atom_site_label
_atom_site_type_symbol
_atom_site_fract_x
_atom_site_fract_y
_atom_site_fract_z
Nd1 Nd 0.145 0.250 0.290
Dy1 Dy 0.048 0.750 0.095
Dy2 Dy 0.235 0.750 0.470
Ag1 Ag 0.357 0.250 0.715
Ag2 Ag 0.456 0.750 0.912
```

The 10 most intense peaks (15° ≤ 2θ ≤ 90°), sorted by position:
hkl 0 0 5, 2θ = 33.1°, intensity 21; hkl 0 2 0, 2θ = 33.6°, intensity 28; hkl 1 1 2, 2θ = 34.0°, intensity 100; hkl 0 2 5, 2θ = 47.8°, intensity 15; hkl 2 0 -1, 2θ = 49.8°, intensity 9; hkl 1 1 7, 2θ = 59.6°, intensity 10; hkl 1 3 2, 2θ = 60.3°, intensity 19; hkl 2 2 -1, 2θ = 61.4°, intensity 10; hkl 2 2 4, 2θ = 71.5°, intensity 9; hkl 0 4 5, 2θ = 80.1°, intensity 8


Computed powder X-ray diffraction pattern
Compound: Li10Zn3Ge4O16
Radiation: Cu Kα X-rays
Structure: a cell relaxed with GGA-PBE
Kinematic intensities with the Lorentz-polarization factor, no thermal factor.

Structural model:
```
data_Li10Zn3Ge4O16
_chemical_formula_sum 'Li10 Zn3 Ge4 O16'
_cell_length_a 5.275
_cell_length_b 6.400
_cell_length_c 10.982
_cell_angle_alpha 90.17
_cell_angle_beta 90.32
_cell_angle_gamma 90.09
_symmetry_space_group_name_H-M 'P 1'
_symmetry_Int_Tables_number 1
_symmetry_space_group_name_Hall 'P 1'
loop_
_atom_site_label
_atom_site_type_symbol
_atom_site_fract_x
_atom_site_fract_y
_atom_site_fract_z
Li1 Li 0.000 0.000 0.000
Li2 Li 0.002 0.243 0.236
Li3 Li 0.232 0.190 0.848
Li4 Li 0.383 0.992 0.324
Li5 Li 0.391 0.762 0.077
Li6 Li 0.513 0.743 0.584
Li7 Li 0.531 0.519 0.822
Li8 Li 0.571 0.971 0.824
Li9 Li 0.853 0.263 0.725
Li10 Li 0.886 0.495 0.494
Zn1 Zn 0.004 0.503 0.994
Zn2 Zn 0.384 0.499 0.326
Zn3 Zn 0.881 0.002 0.493
Ge1 Ge 0.041 0.761 0.745
Ge2 Ge 0.381 0.246 0.575
Ge3 Ge 0.509 0.250 0.070
Ge4 Ge 0.882 0.745 0.247
O1 O 0.041 0.249 0.571
O2 O 0.374 0.753 0.745
O3 O 0.391 0.473 0.989
O4 O 0.394 0.244 0.221
O5 O 0.396 0.033 0.984
O6 O 0.485 0.249 0.729
O7 O 0.496 0.021 0.496
O8 O 0.499 0.471 0.496
O9 O 0.543 0.743 0.244
O10 O 0.849 0.255 0.071
O11 O 0.906 0.749 0.596
O12 O 0.914 0.531 0.821
O13 O 0.940 0.996 0.820
O14 O 0.994 0.973 0.323
O15 O 0.998 0.520 0.323
O16 O 0.998 0.755 0.096
```

The 10 most intense peaks (15° ≤ 2θ ≤ 90°), sorted by position:
hkl 0 1 -1, 2θ = 16.0°, intensity 34; hkl 0 1 2, 2θ = 21.3°, intensity 100; hkl 1 1 0, 2θ = 21.8°, intensity 100; hkl -1 1 1, 2θ = 23.3°, intensity 70; hkl 1 -1 2, 2θ = 27.3°, intensity 27; hkl 0 2 -2, 2θ = 32.4°, intensity 71; hkl 0 0 4, 2θ = 32.6°, intensity 38; hkl 1 2 -1, 2θ = 33.7°, intensity 30; hkl 2 0 0, 2θ = 34.0°, intensity 58; hkl 1 -2 2, 2θ = 36.7°, intensity 27


Computed powder X-ray diffraction pattern
Compound: LaTb2Tm4Sc
Radiation: Cu Kα X-rays
Structure: a cell relaxed with GGA-PBE
Kinematic intensities with the Lorentz-polarization factor, no thermal factor.

Structural model:
```
data_LaTb2Tm4Sc
_chemical_formula_sum 'La1 Tb2 Tm4 Sc1'
_cell_length_a 5.744
_cell_length_b 5.744
_cell_length_c 7.490
_cell_angle_alpha 90.00
_cell_angle_beta 90.00
_cell_angle_gamma 90.00
_symmetry_space_group_name_H-M 'P 4/m m m'
_symmetry_Int_Tables_number 123
_symmetry_space_group_name_Hall '-P 4 2'
loop_
_atom_site_label
_atom_site_type_symbol
_atom_site_fract_x
_atom_site_fract_y
_atom_site_fract_z
La1 La 0.000 0.000 0.000
Tb1 Tb 0.000 0.000 0.500
Tb2 Tb 0.500 0.500 0.500
Tm1 Tm 0.000 0.500 0.250
Sc1 Sc 0.500 0.500 0.000
```

The 10 most intense peaks (15° ≤ 2θ ≤ 90°), sorted by position:
hkl 2 0 0, 2θ = 31.1°, intensity 56; hkl 1 1 2, 2θ = 32.5°, intensity 100; hkl 2 2 0, 2θ = 44.6°, intensity 21; hkl 0 0 4, 2θ = 48.6°, intensity 8; hkl 3 1 2, 2θ = 56.3°, intensity 42; hkl 2 0 4, 2θ = 58.9°, intensity 18; hkl 2 2 4, 2θ = 68.1°, intensity 12; hkl 4 2 0, 2θ = 73.8°, intensity 9; hkl 3 3 2, 2θ = 74.5°, intensity 9; hkl 1 1 6, 2θ = 80.5°, intensity 7